(1)
Ba2SmAs2I2: calculated X-ray diffraction stick pattern (Cu Kα), based on a DFT-relaxed cell (GGA-PBE, Alexandria).
Neutral-atom scattering factors, no anomalous dispersion.

Cell and atoms:
a = 5.5819 Å, b = 5.5819 Å, c = 17.9105 Å
α = 90.00°, β = 90.00°, γ = 90.00°
Space group I4/mmm (No. 139)
Unique sites:
Ba1 0.0000 0.0000 0.1166 [4 per cell]
Sm1 0.0000 0.0000 0.5000 [2 per cell]
As1 0.0000 0.5000 0.0000 [4 per cell]
I1 0.0000 0.0000 0.3167 [4 per cell]

Top 10 peaks for 10° ≤ 2θ ≤ 90°, by angle:
2θ 22.53, d 3.947, intensity 73, (1 1 0)
2θ 29.63, d 3.015, intensity 100, (1 0 5)
2θ 30.18, d 2.961, intensity 23, (1 1 4)
2θ 32.07, d 2.791, intensity 77, (2 0 0)
2θ 44.22, d 2.048, intensity 66, (2 1 5)
2θ 44.44, d 2.039, intensity 17, (2 0 6)
2θ 45.99, d 1.973, intensity 28, (2 2 0)
2θ 51.79, d 1.765, intensity 15, (3 1 0)
2θ 55.67, d 1.651, intensity 17, (3 0 5)
2θ 65.71, d 1.421, intensity 20, (3 2 5)


(2)
PmCoCl5: calculated X-ray diffraction stick pattern (Cu Kα), based on a DFT-relaxed cell (GGA-PBE, Alexandria).
Neutral-atom scattering factors, no anomalous dispersion.

Cell and atoms:
a = 10.4288 Å, b = 9.8166 Å, c = 10.2301 Å
α = 90.00°, β = 119.55°, γ = 90.00°
Space group C2/c (No. 15)
Unique sites:
Pm1 0.2500 0.2500 0.0000 [4 per cell]
Co1 0.0000 0.1402 0.2500 [4 per cell]
Cl1 0.0000 0.3342 0.7500 [4 per cell]
Cl2 0.1161 0.2851 0.1701 [8 per cell]
Cl3 0.1663 0.0178 0.4484 [8 per cell]

Top 10 peaks for 10° ≤ 2θ ≤ 90°, by angle:
2θ 13.41, d 6.603, intensity 40, (1 1 -1)
2θ 18.07, d 4.908, intensity 33, (0 2 0)
2θ 19.32, d 4.595, intensity 100, (1 1 1)
2θ 19.90, d 4.461, intensity 63, (2 0 -2)
2θ 29.06, d 3.073, intensity 24, (1 3 -1)
2θ 31.43, d 2.847, intensity 19, (3 1 -3)
2θ 32.33, d 2.769, intensity 26, (1 3 1)
2θ 34.49, d 2.600, intensity 22, (2 0 2)
2θ 39.19, d 2.299, intensity 25, (2 2 2)
2θ 42.04, d 2.149, intensity 18, (0 4 2)